This entry pairs a crystal structure of FeC2 with its computed powder diffractogram. Radiation: λ = 1.5418 Å (Cu Kα). Structure: a GGA-PBE-relaxed structure.

Atomic structure:
Unit cell a=2.524 b=2.524 c=4.436 alpha=90.00 beta=90.00 gamma=120.00
Element x y z (fractional)
Fe 0.000 0.000 0.000
C 0.000 0.000 0.496
C 0.333 0.667 0.457

Main lines, in order of rising 2θ (2θ = 5–70°):
- 20.02°, I = 66.5
- 40.68°, I = 50.0
- 41.30°, I = 98.9
- 46.30°, I = 100.0
- 59.36°, I = 61.4
- 62.84°, I = 4.2